Starting from a cell relaxed with PBE, the X-ray diffraction stick pattern of SrLa4Ge4 was calculated for Cu Kα X-rays.
Intensities are scaled so that the largest is 100.

Crystal structure
a b c (Å): 9.9415 9.9415 6.1746
angles (deg): 90.00 90.00 90.00
Fractional positions:
Sr 0.2500 0.2500 0.2500
Sr 0.7500 0.7500 0.7500
La 0.1040 0.6368 0.1308
La 0.1368 0.8960 0.6308
La 0.3632 0.6040 0.6308
La 0.3960 0.8632 0.1308
La 0.6040 0.1368 0.8692
La 0.6368 0.3960 0.3692
La 0.8632 0.1040 0.3692
La 0.8960 0.3632 0.8692
Ge 0.0492 0.5890 0.6375
Ge 0.0890 0.9508 0.1375
Ge 0.4110 0.5492 0.1375
Ge 0.4508 0.9110 0.6375
Ge 0.5492 0.0890 0.3625
Ge 0.5890 0.4508 0.8625
Ge 0.9110 0.0492 0.8625
Ge 0.9508 0.4110 0.3625

Most intense lines, 2θ from 5° to 70°, sorted by position:
| Position (°2θ) | I/Imax | index |
| --- | --- | --- |
| 12.6 | 55 | 1 1 0 |
| 24.7 | 30 | 2 1 1 |
| 28.4 | 100 | 1 3 0 |
| 30.3 | 76 | 1 0 2 |
| 35.7 | 37 | 2 3 1 |
| 39.9 | 65 | 3 0 2 |